# HfMg
Computed X-ray diffraction stick pattern, Cu Kα X-rays. Input: the GGA-PBE geometry in the Materials Project.
No peak broadening, texture or thermal motion is included.

Main lines, by intensity (2θ from 10° to 90°):
d 2.555, 35.1 deg, intensity 100
d 4.465, 19.9 deg, intensity 56
d 3.115, 28.7 deg, intensity 47
d 2.203, 41.0 deg, intensity 33
d 1.975, 45.9 deg, intensity 26
d 1.330, 70.9 deg, intensity 26
d 1.568, 58.9 deg, intensity 23
d 1.815, 50.3 deg, intensity 20

Structure:
Cell: 3.1151 3.1151 4.4647 Å, 90.00 90.00 90.00°
Space group P4/mmm (No. 123)
Inequivalent atoms, fractional coordinates:
1 Hf 0.0000 0.0000 0.0000 x1
2 Mg 0.5000 0.5000 0.5000 x1